No. 1
The following is a theoretical PXRD pattern of ErPa2Ni6. It was derived from a cell relaxed with PBE, using λ = 1.5418 Å (Cu Kα).
Kinematic intensities with the Lorentz-polarization factor, no thermal factor.

Principal peaks in the range 10° ≤ 2θ ≤ 90°, low angle first:
2θ 24.87, I 35; 2θ 36.69, I 100; 2θ 43.80, I 47; 2θ 51.02, I 6; 2θ 54.64, I 8; 2θ 58.42, I 26; 2θ 60.93, I 7; 2θ 72.52, I 20; 2θ 75.79, I 24; 2θ 80.49, I 8

Atomic structure:
Cell: 7.160 7.160 3.359 Å, 90.00 90.00 120.00°
Element x y z (fractional)
Er 0.000 0.000 0.000
Pa 0.333 0.667 0.000
Pa 0.667 0.333 0.000
Ni 0.000 0.336 0.500
Ni 0.000 0.664 0.500
Ni 0.336 0.000 0.500
Ni 0.336 0.336 0.500
Ni 0.664 0.000 0.500
Ni 0.664 0.664 0.500

=====

No. 2
The following is a theoretical PXRD pattern of Ac2Zn3IrPt12. It was derived from a cell relaxed with PBE, using λ = 1.5418 Å (Cu Kα).
Kinematic intensities with the Lorentz-polarization factor, no thermal factor.

Principal peaks in the range 10° ≤ 2θ ≤ 90°, low angle first:
2θ 28.06, I 65; 2θ 33.08, I 51; 2θ 33.21, I 100; 2θ 36.78, I 30; 2θ 39.97, I 27; 2θ 40.75, I 47; 2θ 41.09, I 49; 2θ 45.72, I 25; 2θ 50.77, I 49; 2θ 53.91, I 51

Atomic structure:
Cell: 9.776 9.776 9.776 Å, 40.72 40.72 40.72°
Element x y z (fractional)
Ac 0.155 0.155 0.155
Ac 0.845 0.845 0.845
Zn 0.000 0.500 0.500
Zn 0.500 0.000 0.500
Zn 0.500 0.500 0.000
Ir 0.500 0.500 0.500
Pt 0.087 0.087 0.686
Pt 0.087 0.686 0.087
Pt 0.142 0.574 0.574
Pt 0.314 0.913 0.913
Pt 0.426 0.426 0.858
Pt 0.426 0.858 0.426
Pt 0.574 0.142 0.574
Pt 0.574 0.574 0.142
Pt 0.686 0.087 0.087
Pt 0.858 0.426 0.426
Pt 0.913 0.314 0.913
Pt 0.913 0.913 0.314

=====

No. 3
The following is a theoretical PXRD pattern of Ag3Au13. It was derived from a cell relaxed with PBE, using λ = 1.5418 Å (Cu Kα).
Kinematic intensities with the Lorentz-polarization factor, no thermal factor.

Principal peaks in the range 10° ≤ 2θ ≤ 90°, low angle first:
2θ 14.80, I 2; 2θ 26.69, I 1; 2θ 37.44, I 100; 2θ 42.71, I 35; 2θ 45.05, I 15; 2θ 62.00, I 12; 2θ 63.82, I 21; 2θ 74.72, I 27; 2θ 78.06, I 12; 2θ 79.87, I 11

Atomic structure:
Cell: 8.049 5.987 5.987 Å, 90.01 90.00 90.00°
Element x y z (fractional)
Ag 0.000 0.000 0.000
Ag 0.250 0.249 0.249
Ag 0.750 0.249 0.249
Au 0.000 0.000 0.499
Au 0.000 0.498 0.498
Au 0.000 0.499 0.000
Au 0.250 0.249 0.750
Au 0.250 0.750 0.249
Au 0.250 0.750 0.750
Au 0.500 0.000 0.499
Au 0.500 0.001 0.001
Au 0.500 0.498 0.498
Au 0.500 0.499 0.000
Au 0.750 0.249 0.750
Au 0.750 0.750 0.249
Au 0.750 0.750 0.750

=====

No. 4
The following is a theoretical PXRD pattern of ScMn2Hg. It was derived from a cell relaxed with PBE, using λ = 1.5418 Å (Cu Kα).
Kinematic intensities with the Lorentz-polarization factor, no thermal factor.

Principal peaks in the range 10° ≤ 2θ ≤ 90°, low angle first:
2θ 12.73, I 100; 2θ 25.61, I 27; 2θ 30.99, I 43; 2θ 31.32, I 42; 2θ 38.41, I 98; 2θ 38.69, I 96; 2θ 40.48, I 95; 2θ 57.35, I 29; 2θ 72.06, I 29; 2θ 72.61, I 29

Atomic structure:
Cell: 3.132 3.172 6.956 Å, 90.00 90.00 90.00°
Element x y z (fractional)
Sc 0.000 0.000 0.000
Mn 0.000 0.000 0.437
Mn 0.500 0.500 0.262
Hg 0.500 0.500 0.699

=====

No. 5
The following is a theoretical PXRD pattern of HoPd4. It was derived from a cell relaxed with PBE, using λ = 1.5418 Å (Cu Kα).
Kinematic intensities with the Lorentz-polarization factor, no thermal factor.

Principal peaks in the range 10° ≤ 2θ ≤ 90°, low angle first:
2θ 38.24, I 91; 2θ 38.45, I 100; 2θ 41.00, I 38; 2θ 41.29, I 42; 2θ 42.62, I 16; 2θ 50.88, I 18; 2θ 59.60, I 25; 2θ 67.55, I 24; 2θ 73.39, I 15; 2θ 78.57, I 24

Atomic structure:
Cell: 7.806 7.806 7.806 Å, 147.47 137.16 54.81°
Element x y z (fractional)
Ho 0.356 0.106 0.250
Ho 0.644 0.894 0.750
Pd 0.000 0.500 0.500
Pd 0.142 0.892 0.250
Pd 0.186 0.696 0.491
Pd 0.295 0.304 0.991
Pd 0.500 0.500 0.000
Pd 0.705 0.696 0.009
Pd 0.814 0.304 0.509
Pd 0.858 0.108 0.750

=====

No. 6
The following is a theoretical PXRD pattern of Pr3Ga2Sn2. It was derived from a cell relaxed with PBE, using λ = 1.5418 Å (Cu Kα).
Kinematic intensities with the Lorentz-polarization factor, no thermal factor.

Principal peaks in the range 10° ≤ 2θ ≤ 90°, low angle first:
2θ 27.63, I 25; 2θ 29.71, I 100; 2θ 30.22, I 42; 2θ 33.85, I 43; 2θ 38.49, I 32; 2θ 39.37, I 32; 2θ 39.90, I 26; 2θ 41.27, I 28; 2θ 56.24, I 24; 2θ 58.35, I 20

Atomic structure:
Cell: 4.375 4.578 19.372 Å, 90.00 90.00 90.00°
Element x y z (fractional)
Pr 0.000 0.000 0.000
Pr 0.000 0.500 0.318
Pr 0.000 0.500 0.682
Pr 0.500 0.000 0.182
Pr 0.500 0.000 0.818
Pr 0.500 0.500 0.500
Ga 0.000 0.000 0.437
Ga 0.000 0.000 0.563
Ga 0.500 0.500 0.063
Ga 0.500 0.500 0.937
Sn 0.000 0.500 0.147
Sn 0.000 0.500 0.853
Sn 0.500 0.000 0.353
Sn 0.500 0.000 0.647

=====

No. 7
The following is a theoretical PXRD pattern of VTe2. It was derived from a cell relaxed with PBE, using λ = 1.5418 Å (Cu Kα).
Kinematic intensities with the Lorentz-polarization factor, no thermal factor.

Principal peaks in the range 10° ≤ 2θ ≤ 90°, low angle first:
2θ 29.04, I 26; 2θ 30.81, I 64; 2θ 31.24, I 100; 2θ 40.47, I 39; 2θ 48.16, I 30; 2θ 49.05, I 16; 2θ 52.87, I 19; 2θ 57.23, I 15; 2θ 59.05, I 20; 2θ 80.51, I 16

Atomic structure:
Cell: 13.167 3.714 6.150 Å, 90.00 90.00 90.00°
Element x y z (fractional)
V 0.119 0.250 0.013
V 0.381 0.750 0.513
V 0.619 0.250 0.487
V 0.881 0.750 0.987
Te 0.049 0.750 0.732
Te 0.204 0.750 0.277
Te 0.296 0.250 0.777
Te 0.451 0.250 0.232
Te 0.549 0.750 0.768
Te 0.704 0.750 0.223
Te 0.796 0.250 0.723
Te 0.951 0.250 0.268

=====

No. 8
The following is a theoretical PXRD pattern of Ba6Na2ZnRh. It was derived from a cell relaxed with PBE, using λ = 1.5418 Å (Cu Kα).
Kinematic intensities with the Lorentz-polarization factor, no thermal factor.

Principal peaks in the range 10° ≤ 2θ ≤ 90°, low angle first:
2θ 13.84, I 80; 2θ 24.09, I 81; 2θ 27.88, I 100; 2θ 31.25, I 43; 2θ 39.84, I 75; 2θ 42.37, I 21; 2θ 47.10, I 37; 2θ 49.33, I 26; 2θ 65.15, I 22; 2θ 72.30, I 16

Atomic structure:
Cell: 9.047 9.047 9.047 Å, 119.92 119.92 90.14°
Element x y z (fractional)
Ba 0.000 0.000 0.000
Ba 0.000 0.000 0.521
Ba 0.000 0.479 0.000
Ba 0.479 0.000 0.000
Ba 0.479 0.479 0.479
Ba 0.480 0.480 0.000
Na 0.490 0.990 0.500
Na 0.990 0.490 0.500
Zn 0.740 0.740 0.000
Rh 0.240 0.240 0.000

=====

Question: What is the formula in the first record?
Answer: ErPa2Ni6